This entry pairs a crystal structure of Ba2YW3O7 with its calculated X-ray diffraction stick pattern. Radiation: a wavelength of 1.5418 Å. Structure: a GGA+U-relaxed structure.
Intensities are scaled so that the largest is 100.

Most intense lines, 10 to 80 degrees two-theta, low angle first:
30.45 deg, intensity 100; 31.02 deg, intensity 63; 31.45 deg, intensity 65; 42.96 deg, intensity 28; 49.39 deg, intensity 28; 54.20 deg, intensity 29

Crystal structure
abc: 4.0935 4.2109 11.8647
angles: 90.00 90.00 90.00
Space group Pmmm (No. 47)
Asymmetric unit:
Ba1 0.0000 0.0000 0.1844 x2
Y1 0.0000 0.0000 0.5000 x1
W1 0.5000 0.5000 0.0000 x1
W2 0.5000 0.5000 0.3831 x2
O1 0.0000 0.5000 0.3488 x2
O2 0.5000 0.0000 0.0000 x1
O3 0.5000 0.0000 0.3678 x2
O4 0.5000 0.5000 0.1620 x2